Record 1
Structure and simulated X-ray diffraction stick pattern of DyErZnSi (a structure optimized by DFT (PBE); CuKα).
Lines closer than 0.1° are merged.

Structure:
```
data_DyErZnSi
_cell_length_a 4.044
_cell_length_b 5.764
_cell_length_c 5.764
_cell_angle_alpha 42.27
_cell_angle_beta 90.00
_cell_angle_gamma 90.00
_symmetry_space_group_name_H-M 'P 1'
_symmetry_Int_Tables_number 1
_symmetry_space_group_name_Hall 'P 1'
loop_
_atom_site_label
_atom_site_fract_x
_atom_site_fract_y
_atom_site_fract_z
Dy1 0.000 0.000 0.000
Er1 0.500 0.284 0.284
Zn1 0.500 0.572 0.572
Si1 0.000 0.717 0.717
```

Top 6 peaks for 5° ≤ 2θ ≤ 70°, by intensity:
31.98°, I 100
33.00°, I 51
27.60°, I 47
40.00°, I 36
33.33°, I 26
56.78°, I 22

Record 2
Structure and simulated X-ray diffraction stick pattern of Mg15Hg2Pb2 (a structure optimized by DFT (PBE); CuKα).
Lines closer than 0.1° are merged.

Structure:
```
data_Mg15Hg2Pb2
_cell_length_a 5.784
_cell_length_b 7.663
_cell_length_c 10.823
_cell_angle_alpha 86.63
_cell_angle_beta 85.09
_cell_angle_gamma 70.18
_symmetry_space_group_name_H-M 'P 1'
_symmetry_Int_Tables_number 1
_symmetry_space_group_name_Hall 'P 1'
loop_
_atom_site_label
_atom_site_fract_x
_atom_site_fract_y
_atom_site_fract_z
Mg1 0.000 0.000 0.000
Mg2 0.011 0.142 0.628
Mg3 0.053 0.347 0.133
Mg4 0.117 0.712 0.218
Mg5 0.168 0.761 0.499
Mg6 0.224 0.583 0.941
Mg7 0.256 0.351 0.399
Mg8 0.412 0.391 0.664
Mg9 0.442 0.984 0.249
Mg10 0.555 0.347 0.134
Mg11 0.572 0.956 0.531
Mg12 0.646 0.722 0.041
Mg13 0.666 0.575 0.348
Mg14 0.823 0.405 0.859
Mg15 0.845 0.819 0.769
Hg1 0.351 0.804 0.749
Hg2 0.856 0.536 0.592
Pb1 0.443 0.146 0.911
Pb2 0.873 0.120 0.341
```

Top 6 peaks for 5° ≤ 2θ ≤ 70°, by intensity:
20.90°, I 100
8.20°, I 85
36.63°, I 84
17.77°, I 71
18.81°, I 69
15.01°, I 68

Record 3
Structure and simulated X-ray diffraction stick pattern of PmMgPRh2 (a structure optimized by DFT (PBE); CuKα).
Lines closer than 0.1° are merged.

Structure:
```
data_PmMgPRh2
_cell_length_a 6.512
_cell_length_b 6.512
_cell_length_c 6.512
_cell_angle_alpha 147.14
_cell_angle_beta 142.73
_cell_angle_gamma 50.52
_symmetry_space_group_name_H-M 'P 1'
_symmetry_Int_Tables_number 1
_symmetry_space_group_name_Hall 'P 1'
loop_
_atom_site_label
_atom_site_fract_x
_atom_site_fract_y
_atom_site_fract_z
Pm1 0.000 0.000 0.000
Mg1 0.252 0.752 0.500
P1 0.612 0.612 0.000
Rh1 0.415 0.415 0.000
Rh2 0.736 0.236 0.500
```

Top 6 peaks for 5° ≤ 2θ ≤ 70°, by intensity:
35.95°, I 100
31.32°, I 38
45.71°, I 25
43.49°, I 21
64.93°, I 17
30.35°, I 16

Record 4
Structure and simulated X-ray diffraction stick pattern of Sc3UN4 (a structure optimized by DFT (PBE); CuKα).
Lines closer than 0.1° are merged.

Structure:
```
data_Sc3UN4
_cell_length_a 4.631
_cell_length_b 7.530
_cell_length_c 6.681
_cell_angle_alpha 90.00
_cell_angle_beta 90.00
_cell_angle_gamma 90.00
_symmetry_space_group_name_H-M 'P 1'
_symmetry_Int_Tables_number 1
_symmetry_space_group_name_Hall 'P 1'
loop_
_atom_site_label
_atom_site_fract_x
_atom_site_fract_y
_atom_site_fract_z
Sc1 0.250 0.005 0.159
Sc2 0.250 0.495 0.159
Sc3 0.250 0.750 0.685
Sc4 0.750 0.250 0.315
Sc5 0.750 0.505 0.841
Sc6 0.750 0.995 0.841
U1 0.250 0.250 0.653
U2 0.750 0.750 0.347
N1 0.250 0.004 0.838
N2 0.250 0.250 0.317
N3 0.250 0.496 0.838
N4 0.250 0.750 0.344
N5 0.750 0.250 0.656
N6 0.750 0.504 0.162
N7 0.750 0.750 0.683
N8 0.750 0.996 0.162
```

Top 6 peaks for 5° ≤ 2θ ≤ 70°, by intensity:
33.48°, I 100
22.54°, I 68
17.75°, I 68
27.19°, I 67
33.07°, I 62
47.43°, I 45

Record 5
Structure and simulated X-ray diffraction stick pattern of AcUTe3 (a structure optimized by DFT (PBE); CuKα).
Lines closer than 0.1° are merged.

Structure:
```
data_AcUTe3
_cell_length_a 7.579
_cell_length_b 7.579
_cell_length_c 11.185
_cell_angle_alpha 90.00
_cell_angle_beta 90.00
_cell_angle_gamma 145.84
_symmetry_space_group_name_H-M 'P 1'
_symmetry_Int_Tables_number 1
_symmetry_space_group_name_Hall 'P 1'
loop_
_atom_site_label
_atom_site_fract_x
_atom_site_fract_y
_atom_site_fract_z
Ac1 0.249 0.751 0.750
Ac2 0.751 0.249 0.250
U1 0.000 0.000 0.000
U2 0.000 0.000 0.500
Te1 0.082 0.918 0.250
Te2 0.357 0.643 0.062
Te3 0.357 0.643 0.438
Te4 0.643 0.357 0.562
Te5 0.643 0.357 0.938
Te6 0.918 0.082 0.750
```

Top 6 peaks for 5° ≤ 2θ ≤ 70°, by intensity:
28.41°, I 100
31.95°, I 99
20.06°, I 90
40.71°, I 81
40.51°, I 78
31.67°, I 78

Record 6
Structure and simulated X-ray diffraction stick pattern of Pr2Dy3Al3 (a structure optimized by DFT (PBE); CuKα).
Lines closer than 0.1° are merged.

Structure:
```
data_Pr2Dy3Al3
_cell_length_a 11.519
_cell_length_b 11.519
_cell_length_c 11.519
_cell_angle_alpha 161.34
_cell_angle_beta 154.15
_cell_angle_gamma 32.07
_symmetry_space_group_name_H-M 'P 1'
_symmetry_Int_Tables_number 1
_symmetry_space_group_name_Hall 'P 1'
loop_
_atom_site_label
_atom_site_fract_x
_atom_site_fract_y
_atom_site_fract_z
Pr1 0.228 0.228 0.000
Pr2 0.772 0.772 0.000
Dy1 0.000 0.000 0.000
Dy2 0.385 0.885 0.500
Dy3 0.615 0.115 0.500
Al1 0.112 0.612 0.500
Al2 0.500 0.500 0.000
Al3 0.888 0.388 0.500
```

Top 6 peaks for 5° ≤ 2θ ≤ 70°, by intensity:
33.78°, I 100
26.54°, I 45
24.17°, I 28
34.82°, I 26
32.35°, I 18
61.77°, I 18